1.
Simulated X-ray diffraction stick pattern
Compound: Ce3Sm3ErTe8
Radiation: CuKα
Structure: DFT lattice parameters and positions (GGA-PBE)

The 6 most intense peaks (2θ = 10–90°), most intense first:
d_spacing, 2θ (°), intensity
3.148, 28.35, 1000
2.233, 40.40, 384
2.219, 40.66, 378
1.814, 50.31, 204
1.411, 66.22, 176
1.404, 66.60, 174

Cell and atoms:
Cell: 8.932 8.932 8.932 Å, 59.59 59.59 59.59°
Atoms (fractional coordinates):
Ce 0.000 0.500 0.500
Ce 0.500 0.000 0.500
Ce 0.500 0.500 0.000
Sm 0.000 0.000 0.500
Sm 0.000 0.500 0.000
Sm 0.500 0.000 0.000
Er 0.500 0.500 0.500
Te 0.249 0.249 0.249
Te 0.249 0.748 0.748
Te 0.252 0.252 0.751
Te 0.252 0.751 0.252
Te 0.748 0.249 0.748
Te 0.748 0.748 0.249
Te 0.751 0.252 0.252
Te 0.751 0.751 0.751


2.
Simulated X-ray diffraction stick pattern
Compound: CeSm6ErTm2
Radiation: CuKα
Structure: DFT lattice parameters and positions (GGA-PBE)

The 6 most intense peaks (2θ = 10–90°), most intense first:
d_spacing, 2θ (°), intensity
2.895, 30.89, 1000
2.821, 31.72, 673
2.696, 33.23, 665
2.934, 30.47, 401
2.667, 33.60, 283
3.248, 27.46, 279

Cell and atoms:
Cell: 6.632 6.632 8.788 Å, 102.13 102.13 63.20°
Atoms (fractional coordinates):
Ce 0.000 0.000 0.000
Sm 0.094 0.564 0.201
Sm 0.127 0.127 0.419
Sm 0.436 0.906 0.799
Sm 0.564 0.094 0.201
Sm 0.873 0.873 0.581
Sm 0.906 0.436 0.799
Er 0.500 0.500 0.500
Tm 0.410 0.410 0.833
Tm 0.590 0.590 0.167


3.
Simulated X-ray diffraction stick pattern
Compound: Ce2SmEr3Tm6
Radiation: CuKα
Structure: DFT lattice parameters and positions (GGA-PBE)

The 6 most intense peaks (2θ = 10–90°), most intense first:
d_spacing, 2θ (°), intensity
2.861, 31.26, 1000
2.478, 36.25, 505
1.495, 62.09, 319
1.754, 52.15, 180
1.750, 52.26, 179
1.492, 62.20, 106

Cell and atoms:
Cell: 6.075 6.075 11.601 Å, 95.01 95.01 119.98°
Atoms (fractional coordinates):
Ce 0.167 0.833 0.000
Ce 0.833 0.167 0.000
Sm 0.500 0.500 0.000
Er 0.000 0.000 0.500
Er 0.334 0.666 0.500
Er 0.666 0.334 0.500
Tm 0.080 0.416 0.749
Tm 0.248 0.248 0.251
Tm 0.416 0.080 0.749
Tm 0.584 0.920 0.251
Tm 0.752 0.752 0.749
Tm 0.920 0.584 0.251


4.
Simulated X-ray diffraction stick pattern
Compound: Ce2ErSn3
Radiation: CuKα
Structure: DFT lattice parameters and positions (GGA-PBE)

The 6 most intense peaks (2θ = 10–90°), most intense first:
d_spacing, 2θ (°), intensity
2.552, 35.16, 1000
2.897, 30.87, 353
2.879, 31.06, 346
2.042, 44.36, 262
1.598, 57.71, 244
1.592, 57.94, 239

Cell and atoms:
Cell: 9.111 9.111 3.269 Å, 90.00 90.00 142.92°
Atoms (fractional coordinates):
Ce 0.166 0.834 0.000
Ce 0.834 0.166 0.000
Er 0.500 0.500 0.000
Sn 0.000 0.000 0.500
Sn 0.336 0.664 0.500
Sn 0.664 0.336 0.500